Starting from a crystal structure in Alexandria, relaxed with GGA-PBE, the powder XRD pattern of PmRe3B3 was simulated for copper Kα.

Principal peaks in the range 10° ≤ 2θ ≤ 90°, by angle:
2θ/deg  I (rel.)  (hkl)
24.49  50  2 0 0
32.59  40  2 1 0
36.65  100  1 1 1
37.10  59  3 0 0
38.76  52  2 0 1
44.58  64  1 2 1
44.96  31  1 3 0
63.74  46  3 2 1
72.09  19  5 0 1
73.95  16  3 0 2

Structural model:
Unit cell a=8.395 b=8.395 c=3.021 alpha=90.00 beta=90.00 gamma=120.00
Positions (direct):
Pm1 0.333 0.667 0.250
Pm2 0.667 0.333 0.750
Re1 0.039 0.293 0.750
Re2 0.254 0.961 0.750
Re3 0.293 0.254 0.250
Re4 0.707 0.746 0.750
Re5 0.746 0.039 0.250
Re6 0.961 0.707 0.250
B1 0.031 0.558 0.750
B2 0.442 0.473 0.750
B3 0.473 0.031 0.250
B4 0.527 0.969 0.750
B5 0.558 0.527 0.250
B6 0.969 0.442 0.250